# 1
The following is a computed powder diffractogram of LiFe4B4O12. It was derived from a GGA+U-relaxed structure, using a wavelength of 1.5418 Å.
No peak broadening, texture or thermal motion is included.

Peak list (10 most intense, 2θ from 15° to 90°, most intense first)
d [Å]  2theta  Rel. int.  (hkl)
4.177  21.27  100  1 1 1
4.516  19.66  92  0 2 0
2.570  34.92  83  0 0 4
3.430  25.98  74  1 1 -2
2.620  34.22  64  1 3 0
4.135  21.49  53  0 2 1
3.411  26.12  52  1 1 2
4.582  19.37  50  1 1 0
1.872  48.65  43  1 1 5
2.238  40.30  42  2 2 -1

Structural model:
a b c (Å): 5.318 9.032 10.279
angles (deg): 90.00 90.36 90.00
Space group Pc (No. 7)
Unique sites:
Li 0.000 0.007 0.000
Fe 0.307 0.332 0.796
Fe 0.487 0.172 0.542
Fe 0.782 0.168 0.289
Fe 0.984 0.340 0.044
B 0.293 0.334 0.295
B 0.479 0.165 0.038
B 0.813 0.174 0.799
B 0.979 0.324 0.547
O 0.067 0.308 0.231
O 0.216 0.299 0.604
O 0.346 0.289 0.996
O 0.362 0.028 0.041
O 0.399 0.471 0.299
O 0.419 0.216 0.354
O 0.580 0.201 0.739
O 0.731 0.178 0.076
O 0.848 0.197 0.506
O 0.886 0.461 0.534
O 0.904 0.036 0.816
O 0.950 0.297 0.846

=====

# 2
The following is a computed powder diffractogram of MgFeCo2O6. It was derived from a GGA+U-relaxed structure, using a wavelength of 1.5418 Å.
No peak broadening, texture or thermal motion is included.

Peak list (10 most intense, 2θ from 15° to 90°, most intense first)
d [Å]  2theta  Rel. int.  (hkl)
5.191  17.08  100  0 1 -1
2.606  34.42  38  1 1 0
2.199  41.05  33  1 2 -1
1.554  59.47  19  2 0 -1
1.713  53.49  15  1 -3 1
2.445  36.75  13  0 1 2
2.069  43.75  13  0 0 3
1.463  63.59  12  1 2 2
1.635  56.27  6  0 1 -4
2.485  36.14  6  1 0 1

Structural model:
a b c (Å): 3.108 6.244 6.731
angles (deg): 108.13 103.30 90.01
Space group P1 (No. 1)
Unique sites:
Mg 0.000 0.000 0.000
Fe 0.248 0.903 0.495
Co 0.575 0.572 0.148
Co 0.894 0.300 0.785
O 0.050 0.347 0.099
O 0.087 0.796 0.170
O 0.407 0.014 0.812
O 0.428 0.506 0.852
O 0.718 0.667 0.434
O 0.754 0.121 0.505

=====

# 3
The following is a computed powder diffractogram of Li9Mn2Co5O16. It was derived from a GGA+U-relaxed structure, using a wavelength of 1.5418 Å.
No peak broadening, texture or thermal motion is included.

Peak list (10 most intense, 2θ from 15° to 90°, most intense first)
d [Å]  2theta  Rel. int.  (hkl)
4.830  18.37  100  0 2 0
2.165  41.73  33  1 -2 2
2.052  44.14  26  0 3 4
2.026  44.72  26  1 3 -2
2.585  34.70  18  1 0 2
1.484  62.58  15  0 5 -4
2.478  36.26  12  0 1 4
2.443  36.79  12  1 1 -2
2.415  37.24  9  0 4 0
1.495  62.10  8  1 1 6

Structural model:
a b c (Å): 2.955 9.743 10.109
angles (deg): 85.81 86.99 83.56
Space group P1 (No. 1)
Unique sites:
Li 0.000 0.000 0.000
Li 0.005 0.997 0.495
Li 0.252 0.500 0.368
Li 0.270 0.482 0.867
Li 0.507 0.996 0.246
Li 0.518 0.999 0.753
Li 0.763 0.494 0.122
Li 0.780 0.490 0.629
Li 0.866 0.255 0.808
Mn 0.392 0.246 0.565
Mn 0.629 0.749 0.937
Co 0.134 0.749 0.684
Co 0.142 0.743 0.185
Co 0.382 0.245 0.052
Co 0.639 0.742 0.434
Co 0.898 0.242 0.308
O 0.041 0.869 0.844
O 0.080 0.856 0.338
O 0.196 0.631 0.524
O 0.215 0.631 0.033
O 0.301 0.353 0.212
O 0.322 0.364 0.700
O 0.443 0.132 0.925
O 0.489 0.132 0.404
O 0.550 0.860 0.093
O 0.563 0.863 0.593
O 0.703 0.633 0.780
O 0.730 0.627 0.276
O 0.793 0.362 0.976
O 0.866 0.350 0.467
O 0.923 0.136 0.641
O 0.957 0.133 0.156

=====

# 4
The following is a computed powder diffractogram of Li2MnNi3O8. It was derived from a GGA+U-relaxed structure, using a wavelength of 1.5418 Å.
No peak broadening, texture or thermal motion is included.

Peak list (10 most intense, 2θ from 15° to 90°, most intense first)
d [Å]  2theta  Rel. int.  (hkl)
4.731  18.76  100  1 0 1
2.044  44.31  74  0 2 4
2.469  36.39  51  0 2 1
4.694  18.91  39  0 0 3
1.450  64.24  22  2 2 0
1.441  64.67  22  2 0 8
2.456  36.58  16  0 1 5
2.365  38.04  14  2 0 2
1.574  58.65  12  1 2 5
1.386  67.61  11  2 2 3

Structural model:
a b c (Å): 5.7996 5.7996 14.0814
angles (deg): 90.00 90.00 120.00
Space group R-3m (No. 166, hexagonal axes)
Unique sites:
Li 0.0000 0.0000 0.1257
Mn 0.0000 0.0000 0.5000
Ni 0.0000 0.5000 0.0000
O 0.0000 0.0000 0.2642
O 0.0353 0.5176 0.2522

=====

# 5
The following is a computed powder diffractogram of Zn2Fe2O5. It was derived from a GGA+U-relaxed structure, using a wavelength of 1.5418 Å.
No peak broadening, texture or thermal motion is included.

Peak list (10 most intense, 2θ from 15° to 90°, most intense first)
d [Å]  2theta  Rel. int.  (hkl)
3.495  25.49  100  2 1 0
2.604  34.44  88  1 2 1
2.892  30.92  87  1 1 1
2.592  34.60  38  0 4 0
2.233  40.39  38  3 2 0
1.499  61.90  24  1 6 1
1.944  46.74  23  3 1 1
1.648  55.79  21  0 0 2
2.529  35.49  21  2 3 0
3.133  28.49  20  1 3 0

Structural model:
a b c (Å): 7.423 10.369 3.295
angles (deg): 90.00 90.00 90.00
Space group Pbam (No. 55)
Unique sites:
Zn 0.107 0.124 0.000
Fe 0.194 0.393 0.500
O 0.000 0.500 0.500
O 0.154 0.214 0.500
O 0.167 0.932 0.000

=====

# 6
The following is a computed powder diffractogram of Li2VFeP2H2O10. It was derived from a GGA+U-relaxed structure, using a wavelength of 1.5418 Å.
No peak broadening, texture or thermal motion is included.

Peak list (10 most intense, 2θ from 15° to 90°, most intense first)
d [Å]  2theta  Rel. int.  (hkl)
3.333  26.75  100  1 1 -2
3.082  28.97  85  -1 2 2
3.367  26.47  74  0 1 -4
4.731  18.76  46  0 1 2
2.507  35.82  37  2 -1 2
5.046  17.58  37  1 -1 0
4.805  18.46  32  0 0 3
3.488  25.54  31  1 -1 3
3.465  25.71  30  1 -2 1
3.995  22.25  27  1 0 2

Structural model:
a b c (Å): 5.434 7.480 14.532
angles (deg): 95.51 92.42 110.64
Space group P1 (No. 1)
Unique sites:
Li 0.000 0.000 0.000
Li 0.134 0.928 0.282
Li 0.334 0.334 0.333
Li 0.468 0.262 0.616
Li 0.666 0.666 0.666
Li 0.801 0.596 0.950
V 0.401 0.798 0.474
V 0.734 0.131 0.308
V 0.734 0.131 0.808
Fe 0.067 0.464 0.641
Fe 0.067 0.465 0.141
Fe 0.401 0.798 0.975
P 0.049 0.085 0.493
P 0.085 0.844 0.789
P 0.382 0.418 0.827
P 0.419 0.178 0.123
P 0.715 0.750 0.160
P 0.753 0.511 0.456
H 0.024 0.478 0.315
H 0.114 0.452 0.968
H 0.354 0.810 0.649
H 0.444 0.784 0.299
H 0.688 0.143 0.983
H 0.781 0.119 0.633
O 0.022 0.371 0.270
O 0.024 0.626 0.423
O 0.034 0.089 0.386
O 0.101 0.840 0.897
O 0.111 0.303 0.860
O 0.113 0.560 0.013
O 0.148 0.295 0.542
O 0.203 0.256 0.092
O 0.264 0.006 0.524
O 0.321 0.968 0.074
O 0.354 0.701 0.604
O 0.357 0.960 0.756
O 0.367 0.422 0.720
O 0.435 0.174 0.230
O 0.443 0.635 0.192
O 0.447 0.892 0.345
O 0.481 0.628 0.876
O 0.537 0.590 0.425
O 0.598 0.339 0.858
O 0.653 0.302 0.408
O 0.688 0.034 0.938
O 0.691 0.293 0.090
O 0.699 0.754 0.052
O 0.768 0.507 0.563
O 0.778 0.970 0.526
O 0.780 0.228 0.678
O 0.815 0.959 0.208
O 0.870 0.923 0.758
O 0.932 0.672 0.190
O 0.987 0.634 0.741